[1]
The following is a simulated X-ray diffraction stick pattern of ErSnSb. It was derived from a structure optimized by DFT (GGA-PBE), using Cu Kα.
Intensities are scaled so that the largest is 100.

Cell: 5.9602 5.9602 5.9602 Å, 113.55 109.03 105.93°
Fractional coordinates of all 6 atoms:
Er1 0.2500 0.3768 0.1268
Er2 0.7500 0.1232 0.3732
Sn1 0.6462 0.2500 0.8962
Sn2 0.8538 0.7500 0.6038
Sb1 0.1545 0.9045 0.2500
Sb2 0.3455 0.5955 0.7500

The 10 most intense peaks (15 to 90 degrees two-theta), in order of rising 2θ:
two_theta, d [Å], Rel. int.
31.2, 2.864, 85
31.8, 2.813, 78
32.8, 2.731, 100
36.1, 2.491, 34
40.1, 2.247, 24
41.5, 2.175, 21
49.0, 1.860, 22
50.1, 1.822, 14
63.7, 1.460, 16
64.3, 1.449, 14

=====

[2]
The following is a simulated X-ray diffraction stick pattern of Sr3Hg4Au4. It was derived from a structure optimized by DFT (GGA-PBE), using Cu Kα.
Intensities are scaled so that the largest is 100.

Cell: 4.0873 4.7121 15.7360 Å, 81.55 82.57 90.00°
Fractional coordinates of all 11 atoms:
Sr1 0.0000 0.0000 0.0000
Sr2 0.1469 0.6447 0.7086
Sr3 0.8531 0.3553 0.2914
Hg1 0.2571 0.2582 0.4865
Hg2 0.4041 0.9070 0.1893
Hg3 0.5959 0.0930 0.8107
Hg4 0.7429 0.7418 0.5135
Au1 0.3130 0.8159 0.3711
Au2 0.4591 0.4557 0.0895
Au3 0.5409 0.5443 0.9105
Au4 0.6870 0.1841 0.6289

The 10 most intense peaks (15 to 90 degrees two-theta), in order of rising 2θ:
two_theta, d [Å], Rel. int.
20.7, 4.284, 18
21.9, 4.052, 44
29.8, 2.997, 34
31.2, 2.867, 100
37.3, 2.411, 75
38.2, 2.356, 41
41.4, 2.183, 46
44.3, 2.044, 27
44.5, 2.037, 15
59.3, 1.559, 33

=====

[3]
The following is a simulated X-ray diffraction stick pattern of DyZn10Au2. It was derived from a structure optimized by DFT (GGA-PBE), using Cu Kα.
Intensities are scaled so that the largest is 100.

Cell: 8.9305 6.8996 6.8498 Å, 81.01 49.74 49.25°
Fractional coordinates of all 13 atoms:
Dy1 0.0000 0.0000 0.0000
Zn1 0.0000 0.5000 0.0000
Zn2 0.0044 0.3546 0.6454
Zn3 0.2852 0.4941 0.5059
Zn4 0.3546 0.0044 0.9956
Zn5 0.4941 0.2852 0.7148
Zn6 0.5000 0.0000 0.5000
Zn7 0.5059 0.7148 0.2852
Zn8 0.6454 0.9956 0.0044
Zn9 0.7148 0.5059 0.4941
Zn10 0.9956 0.6454 0.3546
Au1 0.0000 0.0000 0.5000
Au2 0.5000 0.5000 0.0000

The 10 most intense peaks (15 to 90 degrees two-theta), in order of rising 2θ:
two_theta, d [Å], Rel. int.
19.9, 4.465, 26
31.8, 2.817, 23
34.3, 2.611, 30
38.8, 2.321, 100
39.9, 2.261, 31
40.1, 2.246, 29
40.4, 2.233, 60
43.9, 2.063, 26
44.0, 2.056, 27
72.4, 1.305, 25

=====

[4]
The following is a simulated X-ray diffraction stick pattern of NdYTm2Th. It was derived from a structure optimized by DFT (GGA-PBE), using Cu Kα.
Intensities are scaled so that the largest is 100.

Cell: 3.5419 5.6156 8.6453 Å, 90.00 90.00 90.00°
Fractional coordinates of all 5 atoms:
Nd1 0.0000 0.0000 0.0000
Y1 0.5000 0.0000 0.5000
Tm1 0.0000 0.5000 0.3216
Tm2 0.0000 0.5000 0.6784
Th1 0.5000 0.5000 0.0000

The 10 most intense peaks (15 to 90 degrees two-theta), in order of rising 2θ:
two_theta, d [Å], Rel. int.
15.8, 5.616, 37
31.0, 2.882, 26
31.6, 2.831, 100
31.9, 2.808, 42
32.7, 2.740, 18
35.0, 2.564, 26
36.5, 2.462, 44
45.1, 2.011, 19
56.6, 1.625, 19
62.0, 1.498, 34